Ba4Bi2Br: computed powder X-ray diffraction pattern (Cu Kα), based on DFT lattice parameters and positions (PBE).
Neutral-atom scattering factors, no anomalous dispersion.

Peak list (6 most intense, 2θ = 10–90°, sorted by position)
(1 0 3), 2θ = 25.57°, I = 71
(3 0 1), 2θ = 26.75°, I = 63
(3 1 0), 2θ = 26.90°, I = 100
(2 1 3), 2θ = 30.82°, I = 71
(3 2 1), 2θ = 31.82°, I = 47
(3 2 3), 2θ = 39.45°, I = 33

Crystal structure
Cell lengths 10.482, 10.482, 11.079 Å; angles 90.00, 90.00, 90.00 degrees
Space group I-42d (No. 122)
Inequivalent atoms, fractional coordinates:
Ba1 0.076 0.688 0.434 (multiplicity 16)
Bi1 0.129 0.750 0.125 (multiplicity 8)
Br1 0.000 0.000 0.500 (multiplicity 4)

***

GeAuS: computed powder X-ray diffraction pattern (Cu Kα), based on DFT lattice parameters and positions (PBE).
Neutral-atom scattering factors, no anomalous dispersion.

Peak list (6 most intense, 2θ = 10–90°, sorted by position)
(0 1 1), 2θ = 22.72°, I = 81
(1 0 1), 2θ = 26.58°, I = 27
(1 1 0), 2θ = 28.40°, I = 100
(0 0 2), 2θ = 29.07°, I = 40
(1 1 2), 2θ = 41.08°, I = 56
(1 2 1), 2θ = 44.78°, I = 67

Crystal structure
Cell lengths 4.002, 5.077, 6.144 Å; angles 90.00, 90.00, 90.00 degrees
Space group Pmn2_1 (No. 31)
Inequivalent atoms, fractional coordinates:
Ge1 0.000 0.059 0.000 (multiplicity 2)
Au1 0.000 0.240 0.390 (multiplicity 2)
S1 0.000 0.431 0.779 (multiplicity 2)

***

K2Li14Zr3O14: computed powder X-ray diffraction pattern (Cu Kα), based on DFT lattice parameters and positions (PBE).
Neutral-atom scattering factors, no anomalous dispersion.

Peak list (6 most intense, 2θ = 10–90°, sorted by position)
(1 1 0), 2θ = 16.46°, I = 100
(0 2 0), 2θ = 22.49°, I = 36
(2 1 3), 2θ = 34.30°, I = 22
(0 2 4), 2θ = 36.39°, I = 51
(3 1 0), 2θ = 38.46°, I = 23
(1 3 4), 2θ = 46.53°, I = 21

Crystal structure
Cell lengths 7.352, 7.906, 12.647 Å; angles 90.00, 90.00, 90.00 degrees
Space group Immm (No. 71)
Inequivalent atoms, fractional coordinates:
K1 0.241 0.000 0.000 (multiplicity 4)
Li1 0.000 0.143 0.229 (multiplicity 8)
Li2 0.000 0.155 0.500 (multiplicity 4)
Li3 0.228 0.159 0.365 (multiplicity 16)
Zr1 0.000 0.500 0.000 (multiplicity 2)
Zr2 0.000 0.500 0.272 (multiplicity 4)
O1 0.000 0.291 0.371 (multiplicity 8)
O2 0.000 0.321 0.128 (multiplicity 8)
O3 0.212 0.000 0.500 (multiplicity 4)
O4 0.214 0.000 0.245 (multiplicity 8)

***

Na2Ca6HN: computed powder X-ray diffraction pattern (Cu Kα), based on DFT lattice parameters and positions (PBE).
Neutral-atom scattering factors, no anomalous dispersion.

Peak list (6 most intense, 2θ = 10–90°, sorted by position)
(2 2 2), 2θ = 29.63°, I = 100
(0 0 4), 2θ = 34.22°, I = 20
(4 0 0), 2θ = 34.40°, I = 40
(4 0 4), 2θ = 49.31°, I = 25
(4 4 0), 2θ = 49.44°, I = 13
(6 2 2), 2θ = 58.70°, I = 24

Crystal structure
Cell lengths 10.422, 10.434, 10.481 Å; angles 90.00, 90.00, 90.00 degrees
Space group Fmm2 (No. 42)
Inequivalent atoms, fractional coordinates:
Na1 0.250 0.250 0.000 (multiplicity 8)
Ca1 0.000 0.000 0.012 (multiplicity 4)
Ca2 0.000 0.000 0.487 (multiplicity 4)
Ca3 0.000 0.238 0.250 (multiplicity 8)
Ca4 0.238 0.000 0.250 (multiplicity 8)
H1 0.000 0.000 0.749 (multiplicity 4)
N1 0.000 0.000 0.250 (multiplicity 4)

***

CeAl3Ga: computed powder X-ray diffraction pattern (Cu Kα), based on DFT lattice parameters and positions (PBE).
Neutral-atom scattering factors, no anomalous dispersion.

Peak list (6 most intense, 2θ = 10–90°, sorted by position)
(1 1 0), 2θ = 29.99°, I = 51
(1 0 3), 2θ = 31.95°, I = 93
(1 1 2), 2θ = 34.05°, I = 100
(2 0 0), 2θ = 42.92°, I = 48
(1 0 5), 2θ = 45.72°, I = 51
(2 1 3), 2θ = 54.48°, I = 46

Crystal structure
Cell lengths 4.214, 4.214, 11.247 Å; angles 90.00, 90.00, 90.00 degrees
Space group I4mm (No. 107)
Inequivalent atoms, fractional coordinates:
Ce1 0.000 0.000 0.000 (multiplicity 2)
Al1 0.000 0.000 0.612 (multiplicity 2)
Al2 0.000 0.500 0.252 (multiplicity 4)
Ga1 0.000 0.000 0.391 (multiplicity 2)

***

KGe2O: computed powder X-ray diffraction pattern (Cu Kα), based on DFT lattice parameters and positions (PBE).
Neutral-atom scattering factors, no anomalous dispersion.

Peak list (6 most intense, 2θ = 10–90°, sorted by position)
(1 0 1), 2θ = 18.28°, I = 84
(1 0 3), 2θ = 24.89°, I = 100
(1 0 5), 2θ = 34.68°, I = 42
(2 0 2), 2θ = 37.05°, I = 93
(2 1 1), 2θ = 39.75°, I = 57
(2 2 4), 2θ = 56.38°, I = 49

Crystal structure
Cell lengths 5.129, 5.129, 14.975 Å; angles 90.00, 90.00, 90.00 degrees
Space group I4_1/amd (No. 141, origin choice 2)
Inequivalent atoms, fractional coordinates:
K1 0.000 0.250 0.375 (multiplicity 4)
Ge1 0.000 0.000 0.000 (multiplicity 8)
O1 0.000 0.250 0.875 (multiplicity 4)

***

CaCd3F6: computed powder X-ray diffraction pattern (Cu Kα), based on DFT lattice parameters and positions (PBE).
Neutral-atom scattering factors, no anomalous dispersion.

Peak list (6 most intense, 2θ = 10–90°, sorted by position)
(0 0 1), 2θ = 17.00°, I = 51
(2 0 -2), 2θ = 28.60°, I = 33
(0 2 0), 2θ = 28.91°, I = 100
(3 1 -1), 2θ = 31.40°, I = 60
(3 1 0), 2θ = 36.68°, I = 33
(2 2 -2), 2θ = 41.08°, I = 48

Crystal structure
Cell lengths 9.642, 6.187, 6.283 Å; angles 90.00, 123.89, 90.00 degrees
Space group C2/m (No. 12)
Inequivalent atoms, fractional coordinates:
Ca1 0.000 0.000 0.000 (multiplicity 2)
Cd1 0.000 0.500 0.500 (multiplicity 2)
Cd2 0.182 0.000 0.651 (multiplicity 4)
F1 0.098 0.282 0.290 (multiplicity 8)
F2 0.235 0.500 0.900 (multiplicity 4)

***

Nd2In2Pt15: computed powder X-ray diffraction pattern (Cu Kα), based on DFT lattice parameters and positions (PBE).
Neutral-atom scattering factors, no anomalous dispersion.

Peak list (6 most intense, 2θ = 10–90°, sorted by position)
(1 1 0), 2θ = 18.86°, I = 32
(2 2 0), 2θ = 38.25°, I = 42
(0 3 3), 2θ = 38.69°, I = 100
(0 0 6), 2θ = 39.95°, I = 40
(2 2 3), 2θ = 43.37°, I = 91
(6 0 0), 2θ = 69.16°, I = 28

Crystal structure
Cell lengths 9.4109, 9.4109, 13.5396 Å; angles 90.00, 90.00, 120.00 degrees
Space group R-3m (No. 166, hexagonal axes)
Inequivalent atoms, fractional coordinates:
Nd1 0.0000 0.0000 0.1457 (multiplicity 6)
In1 0.0000 0.0000 0.3955 (multiplicity 6)
Pt1 0.0000 0.3197 0.5000 (multiplicity 18)
Pt2 0.0000 0.5000 0.0000 (multiplicity 9)
Pt3 0.0045 0.5023 0.6599 (multiplicity 18)

***

Ca2CdHgAu: computed powder X-ray diffraction pattern (Cu Kα), based on DFT lattice parameters and positions (PBE).
Neutral-atom scattering factors, no anomalous dispersion.

Peak list (6 most intense, 2θ = 10–90°, sorted by position)
(1 0 1), 2θ = 20.03°, I = 51
(0 1 1), 2θ = 22.56°, I = 83
(2 0 -1), 2θ = 23.74°, I = 54
(2 1 -2), 2θ = 33.92°, I = 66
(1 1 2), 2θ = 36.29°, I = 100
(1 1 -3), 2θ = 38.40°, I = 78

Crystal structure
Cell lengths 7.539, 4.604, 8.169 Å; angles 90.00, 111.11, 90.00 degrees
Space group P2_1/m (No. 11)
Inequivalent atoms, fractional coordinates:
Ca1 0.034 0.250 0.206 (multiplicity 2)
Ca2 0.358 0.750 0.612 (multiplicity 2)
Cd1 0.344 0.250 0.955 (multiplicity 2)
Hg1 0.327 0.750 0.197 (multiplicity 2)
Au1 0.085 0.250 0.604 (multiplicity 2)

***

BPd2Se4: computed powder X-ray diffraction pattern (Cu Kα), based on DFT lattice parameters and positions (PBE).
Neutral-atom scattering factors, no anomalous dispersion.

Peak list (6 most intense, 2θ = 10–90°, sorted by position)
(1 1 0), 2θ = 19.85°, I = 35
(1 1 2), 2θ = 30.49°, I = 100
(2 1 1), 2θ = 33.72°, I = 21
(2 2 0), 2θ = 40.33°, I = 33
(3 1 2), 2θ = 51.36°, I = 39
(2 0 4), 2θ = 55.54°, I = 31

Crystal structure
Cell lengths 6.326, 6.326, 7.765 Å; angles 90.00, 90.00, 90.00 degrees
Space group I-42m (No. 121)
Inequivalent atoms, fractional coordinates:
B1 0.000 0.000 0.000 (multiplicity 2)
Pd1 0.000 0.500 0.250 (multiplicity 4)
Se1 0.201 0.201 0.130 (multiplicity 8)

***

CsLiNdCl5: computed powder X-ray diffraction pattern (Cu Kα), based on DFT lattice parameters and positions (PBE).
Neutral-atom scattering factors, no anomalous dispersion.

Peak list (6 most intense, 2θ = 10–90°, sorted by position)
(1 1 0), 2θ = 12.50°, I = 42
(1 1 -2), 2θ = 18.59°, I = 100
(2 0 0), 2θ = 20.75°, I = 51
(0 2 2), 2θ = 23.39°, I = 31
(1 3 0), 2θ = 23.60°, I = 51
(3 1 -1), 2θ = 29.68°, I = 39

Crystal structure
Cell lengths 9.375, 12.599, 10.450 Å; angles 90.00, 114.06, 90.00 degrees
Space group C2/c (No. 15)
Inequivalent atoms, fractional coordinates:
Cs1 0.000 0.158 0.250 (multiplicity 4)
Li1 0.000 0.191 0.750 (multiplicity 4)
Nd1 0.000 0.500 0.000 (multiplicity 4)
Cl1 0.000 0.430 0.250 (multiplicity 4)
Cl2 0.094 0.299 0.606 (multiplicity 8)
Cl3 0.197 0.070 0.910 (multiplicity 8)